# 1
Structure and simulated PXRD pattern of BaCuCO3F2 (a structure optimized by DFT (GGA-PBE); copper Kα).

The 8 most intense peaks (15 to 90 degrees two-theta), sorted by position:
hkl	d (Å)	2θ (°)	I (rel.)
0 2 0	4.310	20.6	19
1 1 2	3.232	27.6	100
2 0 0	2.488	36.1	54
0 0 4	2.443	36.8	24
1 3 2	2.217	40.7	14
0 4 2	1.972	46.0	26
2 0 4	1.743	52.5	27
2 4 2	1.545	59.9	17

Structure:
a b c (Å): 4.979 8.615 9.770
angles (deg): 90.00 90.00 90.00
Space group Pbcm (No. 57)
Unique sites:
1 Ba 0.226 0.250 0.000
2 Cu 0.256 0.587 0.250
3 C 0.292 0.584 0.750
4 O 0.121 0.697 0.750
5 O 0.212 0.057 0.250
6 O 0.450 0.115 0.750
7 F 0.259 0.585 0.050

# 2
Structure and simulated PXRD pattern of BaSrCuCO4 (a structure optimized by DFT (GGA-PBE); copper Kα).

The 8 most intense peaks (15 to 90 degrees two-theta), sorted by position:
hkl	d (Å)	2θ (°)	I (rel.)
1 1 1	4.626	19.2	51
1 0 -1	3.886	22.9	49
1 -1 1	3.597	24.8	58
0 2 0	3.230	27.6	100
0 1 2	3.084	29.0	55
2 1 0	2.877	31.1	68
0 1 -2	2.730	32.8	59
2 -1 0	2.557	35.1	58

Structure:
a b c (Å): 6.320 6.675 6.863
angles (deg): 78.26 72.44 78.15
Space group P1 (No. 1)
Unique sites:
1 Ba 0.000 0.000 0.000
2 Ba 0.227 0.460 0.241
3 Sr 0.501 0.974 0.522
4 Sr 0.718 0.444 0.644
5 Cu 0.005 0.962 0.504
6 Cu 0.647 0.693 0.996
7 C 0.731 0.291 0.291
8 C 0.742 0.446 0.149
9 O 0.089 0.174 0.601
10 O 0.261 0.993 0.268
11 O 0.319 0.522 0.831
12 O 0.390 0.717 0.850
13 O 0.426 0.800 0.263
14 O 0.610 0.104 0.822
15 O 0.763 0.914 0.762
16 O 0.906 0.761 0.406

# 3
Structure and simulated PXRD pattern of BaErC (a structure optimized by DFT (GGA-PBE); copper Kα).

The 8 most intense peaks (15 to 90 degrees two-theta), sorted by position:
hkl	d (Å)	2θ (°)	I (rel.)
0 2 0	3.938	22.6	55
3 0 0	3.654	24.4	29
2 1 1	3.349	26.6	100
0 2 1	3.095	28.8	29
1 2 1	2.978	30.0	41
3 1 1	2.765	32.4	37
0 0 2	2.509	35.8	32
1 3 1	2.273	39.7	23

Structure:
a b c (Å): 10.963 7.864 5.018
angles (deg): 90.00 90.00 90.00
Space group Pbcm (No. 57)
Unique sites:
1 Ba 0.181 0.003 0.250
2 Er 0.434 0.611 0.250
3 C 0.405 0.589 0.750

# 4
Structure and simulated PXRD pattern of BaC2F (a structure optimized by DFT (GGA-PBE); copper Kα).

The 8 most intense peaks (15 to 90 degrees two-theta), sorted by position:
hkl	d (Å)	2θ (°)	I (rel.)
0 0 4	5.504	16.1	100
1 0 1	3.417	26.1	35
1 0 3	3.129	28.5	52
0 0 8	2.752	32.5	34
1 0 5	2.720	32.9	35
1 1 2	2.387	37.7	69
1 1 6	2.035	44.5	42
2 0 0	1.731	52.9	21

Structure:
a b c (Å): 3.459 3.459 22.015
angles (deg): 90.00 90.00 90.00
Space group I4_1/amd (No. 141, origin choice 2)
Unique sites:
1 Ba 0.000 0.250 0.375
2 C 0.000 0.000 0.000
3 F 0.000 0.250 0.875